# 1
Simulated powder diffractogram of RbNa2Rh for Cu Kα, from a structure optimized by DFT (GGA-PBE).
Neutral-atom scattering factors, no anomalous dispersion.

Atomic structure:
a b c (Å): 7.575 7.575 7.575
angles (deg): 90.00 90.00 90.00
Space group Fm-3m (No. 225)
Inequivalent atoms, fractional coordinates:
Rb  0.000  0.000  0.000 (multiplicity 4)
Na  0.250  0.250  0.250 (multiplicity 8)
Rh  0.000  0.000  0.500 (multiplicity 4)

Peak list (8 most intense, 10° ≤ 2θ ≤ 80°, in order of rising 2θ)
23.49 deg, 3.788 Å, rel. 44, (2 0 0); 33.46 deg, 2.678 Å, rel. 100, (2 2 0); 41.29 deg, 2.187 Å, rel. 13, (2 2 2); 48.04 deg, 1.894 Å, rel. 18, (4 0 0); 54.15 deg, 1.694 Å, rel. 18, (4 2 0); 59.81 deg, 1.546 Å, rel. 36, (4 2 2); 70.30 deg, 1.339 Å, rel. 11, (4 4 0); 75.27 deg, 1.263 Å, rel. 9, (6 0 0)

# 2
Simulated powder diffractogram of Rb3Na7Sb2 for Cu Kα, from a structure optimized by DFT (GGA-PBE).
Neutral-atom scattering factors, no anomalous dispersion.

Atomic structure:
a b c (Å): 5.979 30.693 5.978
angles (deg): 90.00 90.00 90.00
Space group Cmmm (No. 65)
Inequivalent atoms, fractional coordinates:
Rb  0.000  0.000  0.000 (multiplicity 2)
Rb  0.000  0.181  0.000 (multiplicity 4)
Na  0.000  0.090  0.500 (multiplicity 4)
Na  0.000  0.292  0.500 (multiplicity 4)
Na  0.000  0.411  0.000 (multiplicity 4)
Na  0.000  0.500  0.500 (multiplicity 2)
Sb  0.000  0.394  0.500 (multiplicity 4)

Peak list (8 most intense, 10° ≤ 2θ ≤ 80°, in order of rising 2θ)
18.82 deg, 4.716 Å, rel. 35, (0 4 1); 20.74 deg, 4.283 Å, rel. 85, (1 5 0); 21.22 deg, 4.188 Å, rel. 95, (1 1 1); 22.88 deg, 3.887 Å, rel. 58, (0 6 1); 29.89 deg, 2.989 Å, rel. 100, (2 0 0); 36.66 deg, 2.451 Å, rel. 39, (1 5 2); 42.20 deg, 2.141 Å, rel. 45, (2 10 0); 42.78 deg, 2.114 Å, rel. 37, (2 0 2)

# 3
Simulated powder diffractogram of Rb3Na5Sb2 for Cu Kα, from a structure optimized by DFT (GGA-PBE).
Neutral-atom scattering factors, no anomalous dispersion.

Atomic structure:
a b c (Å): 14.750 16.593 6.694
angles (deg): 90.00 90.00 90.00
Space group Ibam (No. 72)
Inequivalent atoms, fractional coordinates:
Rb  0.000  0.000  0.250 (multiplicity 4)
Rb  0.081  0.251  0.000 (multiplicity 8)
Na  0.000  0.500  0.250 (multiplicity 4)
Na  0.204  0.322  0.500 (multiplicity 8)
Na  0.246  0.500  0.250 (multiplicity 8)
Sb  0.171  0.141  0.500 (multiplicity 8)

Peak list (8 most intense, 10° ≤ 2θ ≤ 80°, in order of rising 2θ)
18.06 deg, 4.912 Å, rel. 64, (1 2 1); 24.11 deg, 3.691 Å, rel. 61, (2 3 1); 24.22 deg, 3.675 Å, rel. 32, (3 3 0); 24.62 deg, 3.615 Å, rel. 42, (2 4 0); 28.15 deg, 3.170 Å, rel. 100, (4 1 1); 28.76 deg, 3.104 Å, rel. 60, (0 2 2); 32.46 deg, 2.758 Å, rel. 70, (2 5 1); 51.09 deg, 1.788 Å, rel. 29, (6 4 2)

# 4
Simulated powder diffractogram of RbNa2Sr2Sb2 for Cu Kα, from a structure optimized by DFT (GGA-PBE).
Neutral-atom scattering factors, no anomalous dispersion.

Atomic structure:
a b c (Å): 5.4427 5.4427 31.9793
angles (deg): 90.00 90.00 120.00
Space group R-3m (No. 166, hexagonal axes)
Inequivalent atoms, fractional coordinates:
Rb  0.0000  0.0000  0.0000 (multiplicity 3)
Na  0.0000  0.0000  0.4115 (multiplicity 6)
Sr  0.0000  0.0000  0.1320 (multiplicity 6)
Sb  0.0000  0.0000  0.2434 (multiplicity 6)

Peak list (8 most intense, 10° ≤ 2θ ≤ 80°, in order of rising 2θ)
19.03 deg, 4.663 Å, rel. 39, (1 0 1); 19.64 deg, 4.521 Å, rel. 26, (0 1 2); 27.18 deg, 3.280 Å, rel. 24, (1 0 7); 29.29 deg, 3.049 Å, rel. 97, (0 1 8); 32.91 deg, 2.721 Å, rel. 100, (1 1 0); 44.63 deg, 2.030 Å, rel. 30, (2 0 8); 56.56 deg, 1.627 Å, rel. 30, (1 2 8); 58.77 deg, 1.571 Å, rel. 18, (3 0 0)

# 5
Simulated powder diffractogram of RbNa4Se4 for Cu Kα, from a structure optimized by DFT (GGA-PBE).
Neutral-atom scattering factors, no anomalous dispersion.

Atomic structure:
a b c (Å): 9.705 9.705 5.873
angles (deg): 90.00 90.00 90.00
Space group P4_2/n (No. 86, origin choice 2)
Inequivalent atoms, fractional coordinates:
Rb  0.250  0.250  0.250 (multiplicity 2)
Na  0.104  0.626  0.137 (multiplicity 8)
Se  0.072  0.583  0.634 (multiplicity 8)

Peak list (8 most intense, 10° ≤ 2θ ≤ 80°, in order of rising 2θ)
17.65 deg, 5.025 Å, rel. 33, (1 0 1); 19.90 deg, 4.462 Å, rel. 51, (1 1 1); 25.52 deg, 3.490 Å, rel. 70, (1 2 1); 29.10 deg, 3.069 Å, rel. 100, (1 3 0); 31.84 deg, 2.811 Å, rel. 42, (1 0 2); 41.32 deg, 2.185 Å, rel. 38, (4 1 1); 41.55 deg, 2.174 Å, rel. 81, (3 0 2); 56.90 deg, 1.618 Å, rel. 32, (6 0 0)

# 6
Simulated powder diffractogram of RbNa2SnSe4 for Cu Kα, from a structure optimized by DFT (GGA-PBE).
Neutral-atom scattering factors, no anomalous dispersion.

Atomic structure:
a b c (Å): 7.946 8.499 15.026
angles (deg): 90.00 90.00 90.00
Space group Imma (No. 74)
Inequivalent atoms, fractional coordinates:
Rb  0.000  0.000  0.000 (multiplicity 4)
Na  0.000  0.000  0.500 (multiplicity 4)
Na  0.250  0.250  0.250 (multiplicity 4)
Sn  0.250  0.250  0.750 (multiplicity 4)
Se  0.000  0.019  0.768 (multiplicity 8)
Se  0.195  0.250  0.572 (multiplicity 8)

Peak list (8 most intense, 10° ≤ 2θ ≤ 80°, in order of rising 2θ)
11.96 deg, 7.398 Å, rel. 100, (0 1 1); 23.69 deg, 3.756 Å, rel. 40, (0 0 4); 24.48 deg, 3.636 Å, rel. 19, (1 2 1); 25.45 deg, 3.500 Å, rel. 18, (2 1 1); 30.81 deg, 2.902 Å, rel. 91, (2 2 0); 31.58 deg, 2.833 Å, rel. 16, (0 1 5); 39.23 deg, 2.297 Å, rel. 44, (2 2 4); 42.55 deg, 2.125 Å, rel. 20, (0 4 0)

# 7
Simulated powder diffractogram of RbNaTaSe4 for Cu Kα, from a structure optimized by DFT (GGA-PBE).
Neutral-atom scattering factors, no anomalous dispersion.

Atomic structure:
a b c (Å): 7.473 6.383 9.994
angles (deg): 90.00 106.85 90.00
Space group P2_1/m (No. 11)
Inequivalent atoms, fractional coordinates:
Rb  0.227  0.250  0.447 (multiplicity 2)
Na  0.253  0.250  0.946 (multiplicity 2)
Ta  0.261  0.750  0.171 (multiplicity 2)
Se  0.063  0.750  0.323 (multiplicity 2)
Se  0.096  0.750  0.929 (multiplicity 2)
Se  0.497  0.521  0.768 (multiplicity 4)

Peak list (8 most intense, 10° ≤ 2θ ≤ 80°, in order of rising 2θ)
13.13 deg, 6.741 Å, rel. 92, (1 0 -1); 16.70 deg, 5.309 Å, rel. 87, (0 1 1); 18.60 deg, 4.770 Å, rel. 100, (0 0 2); 19.12 deg, 4.641 Å, rel. 92, (1 0 -2); 22.40 deg, 3.968 Å, rel. 86, (1 1 1); 28.90 deg, 3.089 Å, rel. 81, (1 1 2); 29.98 deg, 2.981 Å, rel. 79, (2 1 -2); 30.68 deg, 2.915 Å, rel. 74, (1 2 0)

# 8
Simulated powder diffractogram of Rb4NaU3Se8 for Cu Kα, from a structure optimized by DFT (GGA-PBE).
Neutral-atom scattering factors, no anomalous dispersion.

Atomic structure:
a b c (Å): 14.956 8.629 9.385
angles (deg): 90.00 122.12 90.00
Space group C2/m (No. 12)
Inequivalent atoms, fractional coordinates:
Rb  0.000  0.000  0.000 (multiplicity 2)
Rb  0.000  0.500  0.000 (multiplicity 2)
Rb  0.250  0.250  0.000 (multiplicity 4)
Na  0.000  0.000  0.500 (multiplicity 2)
U  0.000  0.500  0.500 (multiplicity 2)
U  0.250  0.250  0.500 (multiplicity 4)
Se  0.023  0.263  0.307 (multiplicity 8)
Se  0.232  0.500  0.696 (multiplicity 4)
Se  0.241  0.000  0.694 (multiplicity 4)

Peak list (8 most intense, 10° ≤ 2θ ≤ 80°, in order of rising 2θ)
11.13 deg, 7.949 Å, rel. 34, (0 0 1); 12.41 deg, 7.133 Å, rel. 14, (1 1 0); 28.18 deg, 3.167 Å, rel. 100, (4 0 0); 35.66 deg, 2.518 Å, rel. 14, (2 2 -3); 38.64 deg, 2.330 Å, rel. 34, (2 2 2); 41.86 deg, 2.158 Å, rel. 37, (0 4 0); 51.23 deg, 1.783 Å, rel. 19, (4 4 0); 68.23 deg, 1.375 Å, rel. 16, (10 2 -2)

# 9
Simulated powder diffractogram of Rb2Na2USe4 for Cu Kα, from a structure optimized by DFT (GGA-PBE).
Neutral-atom scattering factors, no anomalous dispersion.

Atomic structure:
a b c (Å): 16.536 4.461 8.324
angles (deg): 90.00 112.17 90.00
Space group C2/m (No. 12)
Inequivalent atoms, fractional coordinates:
Rb  0.138  0.000  0.052 (multiplicity 4)
Na  0.179  0.500  0.473 (multiplicity 4)
U  0.000  0.000  0.500 (multiplicity 2)
Se  0.001  0.500  0.273 (multiplicity 4)
Se  0.187  0.000  0.679 (multiplicity 4)

Peak list (8 most intense, 10° ≤ 2θ ≤ 80°, in order of rising 2θ)
11.52 deg, 7.682 Å, rel. 96, (2 0 0); 12.86 deg, 6.884 Å, rel. 49, (2 0 -1); 29.50 deg, 3.028 Å, rel. 100, (1 1 -2); 29.71 deg, 3.007 Å, rel. 35, (4 0 1); 30.66 deg, 2.916 Å, rel. 38, (3 1 -2); 31.59 deg, 2.833 Å, rel. 37, (3 1 1); 40.44 deg, 2.231 Å, rel. 33, (0 2 0); 44.09 deg, 2.054 Å, rel. 42, (7 1 -2)

# 10
Simulated powder diffractogram of Rb2Na5Si4 for Cu Kα, from a structure optimized by DFT (GGA-PBE).
Neutral-atom scattering factors, no anomalous dispersion.

Atomic structure:
a b c (Å): 13.865 6.916 9.391
angles (deg): 90.00 123.01 90.00
Space group C2/m (No. 12)
Inequivalent atoms, fractional coordinates:
Rb  0.239  0.000  0.113 (multiplicity 4)
Na  0.000  0.500  0.000 (multiplicity 2)
Na  0.112  0.241  0.398 (multiplicity 8)
Si  0.079  0.000  0.647 (multiplicity 4)
Si  0.232  0.500  0.277 (multiplicity 4)

Peak list (8 most intense, 10° ≤ 2θ ≤ 80°, in order of rising 2θ)
15.24 deg, 5.814 Å, rel. 68, (2 0 0); 23.18 deg, 3.837 Å, rel. 50, (3 1 -1); 23.39 deg, 3.803 Å, rel. 100, (1 1 -2); 25.28 deg, 3.523 Å, rel. 57, (3 1 -2); 28.18 deg, 3.166 Å, rel. 45, (0 2 1); 30.52 deg, 2.929 Å, rel. 60, (1 1 2); 34.90 deg, 2.571 Å, rel. 40, (5 1 -2); 40.54 deg, 2.225 Å, rel. 45, (4 2 0)

# 11
Simulated powder diffractogram of Rb2NaSn10 for Cu Kα, from a structure optimized by DFT (GGA-PBE).
Neutral-atom scattering factors, no anomalous dispersion.

Atomic structure:
a b c (Å): 11.808 13.858 6.567
angles (deg): 90.00 90.00 90.00
Space group Pbam (No. 55)
Inequivalent atoms, fractional coordinates:
Rb  0.162  0.148  0.000 (multiplicity 4)
Na  0.000  0.000  0.500 (multiplicity 2)
Sn  0.123  0.730  0.500 (multiplicity 4)
Sn  0.130  0.279  0.500 (multiplicity 4)
Sn  0.135  0.500  0.500 (multiplicity 4)
Sn  0.201  0.894  0.227 (multiplicity 8)

Peak list (8 most intense, 10° ≤ 2θ ≤ 80°, in order of rising 2θ)
13.48 deg, 6.567 Å, rel. 100, (0 0 1); 14.82 deg, 5.976 Å, rel. 67, (1 2 0); 15.01 deg, 5.904 Å, rel. 74, (2 0 0); 16.72 deg, 5.302 Å, rel. 65, (1 1 1); 27.18 deg, 3.281 Å, rel. 73, (0 0 2); 29.14 deg, 3.064 Å, rel. 97, (0 4 1); 31.09 deg, 2.877 Å, rel. 76, (1 2 2); 33.25 deg, 2.695 Å, rel. 59, (4 0 1)

# 12
Simulated powder diffractogram of RbNa4Sn for Cu Kα, from a structure optimized by DFT (GGA-PBE).
Neutral-atom scattering factors, no anomalous dispersion.

Atomic structure:
a b c (Å): 7.015 6.684 9.597
angles (deg): 90.00 90.00 90.00
Space group Pmn2_1 (No. 31)
Inequivalent atoms, fractional coordinates:
Rb  0.000  0.245  0.000 (multiplicity 2)
Na  0.000  0.011  0.623 (multiplicity 2)
Na  0.000  0.727  0.274 (multiplicity 2)
Na  0.249  0.302  0.376 (multiplicity 4)
Sn  0.000  0.508  0.622 (multiplicity 2)

Peak list (8 most intense, 10° ≤ 2θ ≤ 80°, in order of rising 2θ)
13.25 deg, 6.684 Å, rel. 41, (0 1 0); 20.55 deg, 4.321 Å, rel. 44, (1 1 1); 25.39 deg, 3.508 Å, rel. 31, (2 0 0); 26.15 deg, 3.407 Å, rel. 33, (1 1 2); 30.24 deg, 2.955 Å, rel. 35, (2 1 1); 30.72 deg, 2.911 Å, rel. 49, (1 0 3); 31.06 deg, 2.879 Å, rel. 100, (1 2 1); 31.59 deg, 2.832 Å, rel. 33, (2 0 2)